1.
This entry pairs a crystal structure of Rb3Ru2NCl8O2 with its calculated XRD peak list. Radiation: Cu Kα. Structure: a structure optimized by DFT (PBE).
Kinematic intensities with the Lorentz-polarization factor, no thermal factor.

Cell and atoms:
Cell: 9.106 9.106 8.460 Å, 113.60 113.60 51.78°
Sites, in units of the cell vectors:
Rb: 0.000 0.000 0.000
Rb: 0.347 0.347 0.283
Rb: 0.653 0.653 0.717
Ru: 0.391 0.391 0.790
Ru: 0.609 0.609 0.210
N: 0.500 0.500 0.000
Cl: 0.121 0.544 0.915
Cl: 0.247 0.671 0.682
Cl: 0.329 0.753 0.318
Cl: 0.456 0.879 0.085
Cl: 0.544 0.121 0.915
Cl: 0.671 0.247 0.682
Cl: 0.753 0.329 0.318
Cl: 0.879 0.456 0.085
O: 0.294 0.294 0.590
O: 0.706 0.706 0.410

Most intense lines, 2θ = 10–90°, sorted by position:
Position (°2θ)  intensity
11.7  23
12.5  37
12.7  100
21.3  65
24.2  21
29.1  38
30.3  20
30.9  17
33.9  63
45.6  18


2.
This entry pairs a crystal structure of Tb2PmY3Te6 with its calculated XRD peak list. Radiation: Cu Kα. Structure: a structure optimized by DFT (PBE).
Kinematic intensities with the Lorentz-polarization factor, no thermal factor.

Cell and atoms:
Cell: 9.801 9.801 8.814 Å, 102.93 102.93 25.73°
Sites, in units of the cell vectors:
Tb: 0.165 0.165 0.330
Tb: 0.835 0.835 0.670
Pm: 0.500 0.500 0.000
Y: 0.164 0.164 0.833
Y: 0.500 0.500 0.500
Y: 0.836 0.836 0.167
Te: 0.001 0.001 0.256
Te: 0.330 0.330 0.916
Te: 0.333 0.333 0.417
Te: 0.667 0.667 0.583
Te: 0.670 0.670 0.084
Te: 0.999 0.999 0.744

Most intense lines, 2θ = 10–90°, sorted by position:
Position (°2θ)  intensity
28.8  100
41.0  13
41.2  50
41.4  12
50.8  13
51.2  13
59.6  12
67.6  23
74.7  8
75.3  8


3.
This entry pairs a crystal structure of ReOs with its calculated XRD peak list. Radiation: Cu Kα. Structure: a structure optimized by DFT (PBE).
Kinematic intensities with the Lorentz-polarization factor, no thermal factor.

Cell and atoms:
Cell: 4.391 7.323 7.323 Å, 21.82 90.00 90.00°
Sites, in units of the cell vectors:
Re: 0.000 0.000 0.000
Re: 0.000 0.332 0.332
Re: 0.500 0.557 0.557
Os: 0.000 0.667 0.667
Os: 0.500 0.222 0.222
Os: 0.500 0.889 0.889

Most intense lines, 2θ = 10–90°, sorted by position:
Position (°2θ)  intensity
37.5  24
41.1  25
43.0  100
56.8  15
67.7  18
76.2  19
82.3  21
83.5  10
83.6  5
89.2  3


4.
This entry pairs a crystal structure of TbPr4Tm8 with its calculated XRD peak list. Radiation: Cu Kα. Structure: a structure optimized by DFT (PBE).
Kinematic intensities with the Lorentz-polarization factor, no thermal factor.

Cell and atoms:
Cell: 7.785 7.785 7.785 Å, 90.13 90.13 90.13°
Sites, in units of the cell vectors:
Tb: 0.000 0.000 0.000
Pr: 0.000 0.000 0.500
Pr: 0.000 0.500 0.000
Pr: 0.500 0.000 0.000
Pr: 0.500 0.500 0.500
Tm: 0.259 0.740 0.740
Tm: 0.260 0.260 0.260
Tm: 0.260 0.260 0.741
Tm: 0.260 0.741 0.260
Tm: 0.740 0.259 0.740
Tm: 0.740 0.740 0.259
Tm: 0.740 0.740 0.740
Tm: 0.741 0.260 0.260

Most intense lines, 2θ = 10–90°, sorted by position:
Position (°2θ)  intensity
19.8  9
22.8  11
32.5  100
46.7  18
58.0  28
58.2  9
68.1  6
68.2  6
77.5  8
77.6  8


5.
This entry pairs a crystal structure of Ce2CdTc with its calculated XRD peak list. Radiation: Cu Kα. Structure: a structure optimized by DFT (PBE).
Kinematic intensities with the Lorentz-polarization factor, no thermal factor.

Cell and atoms:
Cell: 10.230 7.081 5.239 Å, 90.00 104.35 90.00°
Sites, in units of the cell vectors:
Ce: 0.094 0.092 0.296
Ce: 0.094 0.408 0.796
Ce: 0.351 0.630 0.919
Ce: 0.351 0.870 0.419
Ce: 0.649 0.130 0.581
Ce: 0.649 0.370 0.081
Ce: 0.906 0.592 0.204
Ce: 0.906 0.908 0.704
Cd: 0.367 0.134 0.927
Cd: 0.367 0.366 0.427
Cd: 0.633 0.634 0.573
Cd: 0.633 0.866 0.073
Tc: 0.150 0.647 0.323
Tc: 0.150 0.853 0.823
Tc: 0.850 0.147 0.177
Tc: 0.850 0.353 0.677

Most intense lines, 2θ = 10–90°, sorted by position:
Position (°2θ)  intensity
30.8  23
33.4  100
33.5  94
34.2  95
36.3  55
38.1  35
38.2  49
50.9  21
51.6  22
63.4  23


6.
This entry pairs a crystal structure of As2Pb4S6ICl with its calculated XRD peak list. Radiation: Cu Kα. Structure: a structure optimized by DFT (PBE).
Kinematic intensities with the Lorentz-polarization factor, no thermal factor.

Cell and atoms:
Cell: 6.788 11.701 9.828 Å, 90.00 90.00 90.00°
Sites, in units of the cell vectors:
As: 0.000 0.168 0.000
As: 0.000 0.669 0.578
As: 0.500 0.331 0.078
As: 0.500 0.832 0.500
Pb: 0.000 0.368 0.334
Pb: 0.000 0.433 0.821
Pb: 0.000 0.870 0.244
Pb: 0.000 0.919 0.771
Pb: 0.500 0.081 0.271
Pb: 0.500 0.130 0.744
Pb: 0.500 0.567 0.321
Pb: 0.500 0.632 0.834
S: 0.000 0.146 0.230
S: 0.000 0.645 0.350
S: 0.248 0.544 0.629
S: 0.249 0.044 0.954
S: 0.251 0.956 0.454
S: 0.252 0.456 0.129
S: 0.500 0.355 0.850
S: 0.500 0.854 0.730
S: 0.748 0.456 0.129
S: 0.749 0.956 0.454
S: 0.751 0.044 0.954
S: 0.752 0.544 0.629
I: 0.000 0.210 0.640
I: 0.500 0.790 0.140
Cl: 0.000 0.715 0.919
Cl: 0.500 0.285 0.419

Most intense lines, 2θ = 10–90°, sorted by position:
Position (°2θ)  intensity
18.1  34
20.0  37
26.3  56
27.1  100
32.1  41
33.4  21
35.7  22
41.8  20
46.9  24
54.0  21


7.
This entry pairs a crystal structure of BeZnCdCuIr with its calculated XRD peak list. Radiation: Cu Kα. Structure: a structure optimized by DFT (PBE).
Kinematic intensities with the Lorentz-polarization factor, no thermal factor.

Cell and atoms:
Cell: 8.789 8.789 8.789 Å, 161.14 161.14 26.80°
Sites, in units of the cell vectors:
Be: 0.000 0.000 0.000
Zn: 0.832 0.832 0.000
Cd: 0.199 0.199 0.000
Cu: 0.585 0.585 0.000
Ir: 0.432 0.432 0.000

Most intense lines, 2θ = 10–90°, sorted by position:
Position (°2θ)  intensity
10.3  32
20.8  35
31.5  47
34.9  53
41.0  100
42.3  22
44.5  58
48.9  18
63.0  26
79.5  28


8.
This entry pairs a crystal structure of RbHg2S2Cl with its calculated XRD peak list. Radiation: Cu Kα. Structure: a structure optimized by DFT (PBE).
Kinematic intensities with the Lorentz-polarization factor, no thermal factor.

Cell and atoms:
Cell: 6.705 6.798 10.132 Å, 90.00 99.32 90.00°
Sites, in units of the cell vectors:
Rb: 0.156 0.250 0.131
Rb: 0.844 0.750 0.869
Hg: 0.254 0.003 0.648
Hg: 0.254 0.497 0.648
Hg: 0.746 0.503 0.352
Hg: 0.746 0.997 0.352
S: 0.222 0.250 0.481
S: 0.326 0.750 0.810
S: 0.674 0.250 0.190
S: 0.778 0.750 0.519
Cl: 0.014 0.750 0.184
Cl: 0.986 0.250 0.816

Most intense lines, 2θ = 10–90°, sorted by position:
Position (°2θ)  intensity
14.8  71
17.2  93
20.5  100
24.0  75
27.0  99
27.7  47
30.2  65
33.5  42
35.9  52
37.8  71